Computed powder diffraction line list
Compound: Mg14CdBi
Radiation: Cu Kα, 1.54184 Å
Structure: a GGA-PBE-relaxed structure

```
data_Mg14CdBi
_space_group_name_H-M_alt 'P -6 m 2'
_space_group_IT_number 187
_space_group_name_Hall 'P -6 2'
_cell_length_a 6.4090
_cell_length_b 6.4090
_cell_length_c 10.4448
_cell_angle_alpha 90.00
_cell_angle_beta 90.00
_cell_angle_gamma 120.00
loop_
_atom_site_label
_atom_site_type_symbol
_atom_site_fract_x
_atom_site_fract_y
_atom_site_fract_z
_atom_site_occupancy
Mg1 Mg 0.0000 0.0000 0.2503 1
Mg2 Mg 0.3326 0.1663 0.0000 1
Mg3 Mg 0.3330 0.1665 0.5000 1
Mg4 Mg 0.5029 0.0059 0.2563 1
Cd1 Cd 0.3333 0.6667 0.5000 1
Bi1 Bi 0.3333 0.6667 0.0000 1
```

Top 6 peaks for 2θ from 10° to 90°, low angle first:
2θ (°)  d [Å]  I (rel.)  index
15.97  5.550  71  1 0 0
23.39  3.803  63  1 0 2
32.26  2.775  33  2 0 0
32.79  2.731  27  1 1 2
36.67  2.451  100  2 0 2
63.01  1.475  28  2 0 6

Computed powder diffraction line list
Compound: La3TaTi2O11
Radiation: Cu Kα, 1.54184 Å
Structure: a GGA-PBE-relaxed structure

```
data_La3TaTi2O11
_space_group_name_H-M_alt 'P m c 21'
_space_group_IT_number 26
_cell_length_a 3.958
_cell_length_b 20.413
_cell_length_c 5.625
_cell_angle_alpha 90.00
_cell_angle_beta 90.00
_cell_angle_gamma 90.00
loop_
_space_group_symop_operation_xyz
'x,y,z'
'-x,-y,z+1/2'
'-x,y,z'
'x,-y,z+1/2'
loop_
_atom_site_label
_atom_site_type_symbol
_atom_site_fract_x
_atom_site_fract_y
_atom_site_fract_z
_atom_site_occupancy
La1 La 0.000 0.066 0.000 1
La2 La 0.000 0.260 0.470 1
La3 La 0.500 0.373 0.964 1
Ta1 Ta 0.000 0.437 0.510 1
Ti1 Ti 0.500 0.077 0.509 1
Ti2 Ti 0.500 0.205 0.007 1
O1 O 0.000 0.062 0.542 1
O2 O 0.000 0.194 0.041 1
O3 O 0.000 0.355 0.721 1
O4 O 0.000 0.379 0.241 1
O5 O 0.000 0.479 0.849 1
O6 O 0.500 0.017 0.240 1
O7 O 0.500 0.118 0.835 1
O8 O 0.500 0.150 0.338 1
O9 O 0.500 0.258 0.744 1
O10 O 0.500 0.278 0.224 1
O11 O 0.500 0.434 0.543 1
```

Top 6 peaks for 2θ from 10° to 90°, low angle first:
2θ (°)  d [Å]  I (rel.)  index
26.99  3.304  42  0 5 1
27.91  3.197  50  1 1 1
28.94  3.086  100  1 2 1
30.71  2.911  53  0 6 1
31.82  2.813  50  0 0 2
32.76  2.734  45  1 4 1

Computed powder diffraction line list
Compound: Mg6FeCo
Radiation: Cu Kα, 1.54184 Å
Structure: a GGA-PBE-relaxed structure

```
data_Mg6FeCo
_space_group_name_H-M_alt 'A m m 2'
_space_group_IT_number 38
_cell_length_a 4.674
_cell_length_b 5.981
_cell_length_c 10.159
_cell_angle_alpha 90.00
_cell_angle_beta 90.00
_cell_angle_gamma 90.00
loop_
_space_group_symop_operation_xyz
'x,y,z'
'-x,-y,z'
'-x,y,z'
'x,-y,z'
'x,y+1/2,z+1/2'
'-x,-y+1/2,z+1/2'
'-x,y+1/2,z+1/2'
'x,-y+1/2,z+1/2'
loop_
_atom_site_label
_atom_site_type_symbol
_atom_site_fract_x
_atom_site_fract_y
_atom_site_fract_z
_atom_site_occupancy
Mg1 Mg 0.000 0.000 0.000 1
Mg2 Mg 0.000 0.233 0.745 1
Mg3 Mg 0.500 0.000 0.175 1
Mg4 Mg 0.500 0.234 0.429 1
Fe1 Fe 0.500 0.000 0.664 1
Co1 Co 0.000 0.000 0.515 1
```

Top 6 peaks for 2θ from 10° to 90°, low angle first:
2θ (°)  d [Å]  I (rel.)  index
17.20  5.154  39  0 1 1
34.81  2.577  25  0 2 2
38.52  2.337  38  2 0 0
39.95  2.257  100  1 2 2
40.42  2.232  47  1 0 4
70.64  1.333  17  3 2 2

Computed powder diffraction line list
Compound: TbAlCo4
Radiation: Cu Kα, 1.54184 Å
Structure: a GGA-PBE-relaxed structure

```
data_TbAlCo4
_space_group_name_H-M_alt 'C m m m'
_space_group_IT_number 65
_space_group_name_Hall '-C 2 2'
_cell_length_a 4.904
_cell_length_b 8.597
_cell_length_c 4.010
_cell_angle_alpha 90.00
_cell_angle_beta 90.00
_cell_angle_gamma 90.00
loop_
_atom_site_label
_atom_site_type_symbol
_atom_site_fract_x
_atom_site_fract_y
_atom_site_fract_z
_atom_site_occupancy
Tb1 Tb 0.000 0.000 0.000 1
Al1 Al 0.000 0.500 0.500 1
Co1 Co 0.000 0.331 0.000 1
Co2 Co 0.250 0.250 0.500 1
```

Top 6 peaks for 2θ from 10° to 90°, low angle first:
2θ (°)  d [Å]  I (rel.)  index
30.49  2.932  48  0 2 1
30.62  2.920  41  1 1 1
36.31  2.474  55  1 3 0
42.95  2.106  100  1 3 1
43.25  2.092  74  2 0 1
45.22  2.005  42  0 0 2

Computed powder diffraction line list
Compound: Tb3Lu
Radiation: Cu Kα, 1.54184 Å
Structure: a GGA-PBE-relaxed structure

```
data_Tb3Lu
_space_group_name_H-M_alt 'P m -3 m'
_space_group_IT_number 221
_space_group_name_Hall '-P 4 2 3'
_cell_length_a 4.992
_cell_length_b 4.992
_cell_length_c 4.992
_cell_angle_alpha 90.00
_cell_angle_beta 90.00
_cell_angle_gamma 90.00
loop_
_atom_site_label
_atom_site_type_symbol
_atom_site_fract_x
_atom_site_fract_y
_atom_site_fract_z
_atom_site_occupancy
Tb1 Tb 0.000 0.000 0.500 1
Lu1 Lu 0.500 0.500 0.500 1
```

Top 6 peaks for 2θ from 10° to 90°, low angle first:
2θ (°)  d [Å]  I (rel.)  index
31.03  2.882  100  1 1 1
35.98  2.496  51  2 0 0
51.80  1.765  36  2 2 0
61.62  1.505  43  3 1 1
84.61  1.145  18  3 3 1
87.35  1.116  17  4 2 0

Computed powder diffraction line list
Compound: PrSbO4
Radiation: Cu Kα, 1.54184 Å
Structure: a GGA-PBE-relaxed structure

```
data_PrSbO4
_space_group_name_H-M_alt 'P 1 2/c 1'
_space_group_IT_number 13
_cell_length_a 6.034
_cell_length_b 4.749
_cell_length_c 14.012
_cell_angle_alpha 90.00
_cell_angle_beta 111.27
_cell_angle_gamma 90.00
loop_
_space_group_symop_operation_xyz
'x,y,z'
'-x,-y,-z'
'-x,y,-z+1/2'
'x,-y,z+1/2'
loop_
_atom_site_label
_atom_site_type_symbol
_atom_site_fract_x
_atom_site_fract_y
_atom_site_fract_z
_atom_site_occupancy
Pr1 Pr 0.100 0.157 0.135 1
Sb1 Sb 0.416 0.229 0.903 1
O1 O 0.036 0.347 0.603 1
O2 O 0.254 0.091 0.314 1
O3 O 0.294 0.361 0.671 1
O4 O 0.295 0.010 0.015 1
```

Top 6 peaks for 2θ from 10° to 90°, low angle first:
2θ (°)  d [Å]  I (rel.)  index
18.68  4.749  31  0 1 0
27.00  3.302  100  1 1 1
27.32  3.264  62  0 0 4
28.09  3.176  74  1 1 -3
29.69  3.009  59  2 0 -2
42.29  2.137  32  2 0 -6

Computed powder diffraction line list
Compound: LiHoSe2
Radiation: Cu Kα, 1.54184 Å
Structure: a GGA-PBE-relaxed structure

```
data_LiHoSe2
_space_group_name_H-M_alt 'R -3 m'
_space_group_IT_number 166
_space_group_name_Hall '-R 3 2"'
_cell_length_a 4.0532
_cell_length_b 4.0532
_cell_length_c 19.4982
_cell_angle_alpha 90.00
_cell_angle_beta 90.00
_cell_angle_gamma 120.00
loop_
_atom_site_label
_atom_site_type_symbol
_atom_site_fract_x
_atom_site_fract_y
_atom_site_fract_z
_atom_site_occupancy
Li1 Li 0.0000 0.0000 0.0000 1
Ho1 Ho 0.0000 0.0000 0.5000 1
Se1 Se 0.0000 0.0000 0.2507 1
```

Top 6 peaks for 2θ from 10° to 90°, low angle first:
2θ (°)  d [Å]  I (rel.)  index
13.62  6.499  54  0 0 3
25.79  3.455  38  1 0 1
31.40  2.848  100  1 0 4
44.72  2.027  37  1 1 0
45.30  2.002  36  0 1 8
55.66  1.651  20  0 2 4